Starting from the PBE geometry in Alexandria, the powder X-ray diffraction pattern of InPtCl6 was calculated for CuKα.
Kinematic intensities with the Lorentz-polarization factor, no thermal factor.

Most intense lines, 2θ from 10° to 90°, sorted by position:
| Position (°2θ) | intensity |
| --- | --- |
| 15.1 | 97 |
| 18.9 | 100 |
| 25.2 | 40 |
| 33.3 | 57 |
| 33.5 | 31 |
| 35.0 | 27 |
| 43.1 | 29 |
| 49.1 | 38 |

Cell and atoms:
a b c (Å): 6.3286 11.7222 6.3287
angles (deg): 90.00 108.41 90.00
Positions (direct):
In 0.0000 0.0000 0.0000
In 0.5000 0.5000 0.0000
Pt 0.0000 0.5000 0.5000
Pt 0.5000 0.0000 0.5000
Cl 0.2240 0.3591 0.7259
Cl 0.2240 0.6409 0.7259
Cl 0.2421 0.0000 0.7554
Cl 0.2579 0.5000 0.2446
Cl 0.2760 0.1409 0.2741
Cl 0.2760 0.8591 0.2741
Cl 0.7240 0.1409 0.7259
Cl 0.7240 0.8591 0.7259
Cl 0.7421 0.5000 0.7554
Cl 0.7579 0.0000 0.2446
Cl 0.7760 0.3591 0.2741
Cl 0.7760 0.6409 0.2741



Starting from the PBE geometry in Alexandria, the powder X-ray diffraction pattern of Pm2Nd9Tl was calculated for CuKα.
Kinematic intensities with the Lorentz-polarization factor, no thermal factor.

Most intense lines, 2θ from 10° to 90°, sorted by position:
| Position (°2θ) | intensity |
| --- | --- |
| 30.2 | 100 |
| 34.4 | 17 |
| 35.3 | 33 |
| 50.1 | 24 |
| 50.7 | 12 |
| 59.0 | 14 |
| 60.2 | 28 |
| 62.7 | 12 |

Cell and atoms:
a b c (Å): 5.0891 5.0891 15.6528
angles (deg): 90.00 90.00 90.00
Positions (direct):
Pm 0.0000 0.0000 0.1694
Pm 0.0000 0.0000 0.8306
Nd 0.0000 0.5000 0.0000
Nd 0.0000 0.5000 0.3391
Nd 0.0000 0.5000 0.6609
Nd 0.5000 0.0000 0.0000
Nd 0.5000 0.0000 0.3391
Nd 0.5000 0.0000 0.6609
Nd 0.5000 0.5000 0.1706
Nd 0.5000 0.5000 0.5000
Nd 0.5000 0.5000 0.8294
Tl 0.0000 0.0000 0.5000



Starting from the PBE geometry in Alexandria, the powder X-ray diffraction pattern of Ta3Mo5 was calculated for CuKα.
Kinematic intensities with the Lorentz-polarization factor, no thermal factor.

Most intense lines, 2θ from 10° to 90°, sorted by position:
| Position (°2θ) | intensity |
| --- | --- |
| 13.7 | 5 |
| 31.1 | 5 |
| 39.6 | 100 |
| 57.1 | 6 |
| 57.4 | 11 |
| 71.8 | 11 |
| 72.0 | 23 |
| 85.3 | 7 |

Cell and atoms:
a b c (Å): 4.5403 4.5403 12.8996
angles (deg): 90.00 90.00 90.00
Positions (direct):
Ta 0.0000 0.0000 0.0000
Ta 0.0000 0.5000 0.3691
Ta 0.0000 0.5000 0.8691
Ta 0.5000 0.0000 0.3691
Ta 0.5000 0.0000 0.8691
Ta 0.5000 0.5000 0.5000
Mo 0.0000 0.0000 0.2420
Mo 0.0000 0.0000 0.4972
Mo 0.0000 0.0000 0.7437
Mo 0.0000 0.5000 0.1223
Mo 0.0000 0.5000 0.6223
Mo 0.5000 0.0000 0.1223
Mo 0.5000 0.0000 0.6223
Mo 0.5000 0.5000 0.2437
Mo 0.5000 0.5000 0.7420
Mo 0.5000 0.5000 0.9972



Starting from the PBE geometry in Alexandria, the powder X-ray diffraction pattern of Dy5MgZn6 was calculated for CuKα.
Kinematic intensities with the Lorentz-polarization factor, no thermal factor.

Most intense lines, 2θ from 10° to 90°, sorted by position:
| Position (°2θ) | intensity |
| --- | --- |
| 25.3 | 10 |
| 35.9 | 100 |
| 36.4 | 20 |
| 51.4 | 7 |
| 52.0 | 14 |
| 64.5 | 17 |
| 65.2 | 14 |
| 76.2 | 8 |

Cell and atoms:
a b c (Å): 8.6649 8.6649 4.9375
angles (deg): 106.52 106.52 120.13
Positions (direct):
Dy 0.0000 0.0000 0.0000
Dy 0.1706 0.8294 0.5000
Dy 0.3376 0.6624 0.0000
Dy 0.6624 0.3376 0.0000
Dy 0.8294 0.1706 0.5000
Mg 0.5000 0.5000 0.5000
Zn 0.0956 0.4175 0.2571
Zn 0.2582 0.2582 0.7572
Zn 0.4175 0.0956 0.2571
Zn 0.5825 0.9044 0.7429
Zn 0.7418 0.7418 0.2428
Zn 0.9044 0.5825 0.7429



Starting from the PBE geometry in Alexandria, the powder X-ray diffraction pattern of Li2Ca13 was calculated for CuKα.
Kinematic intensities with the Lorentz-polarization factor, no thermal factor.

Most intense lines, 2θ from 10° to 90°, sorted by position:
| Position (°2θ) | intensity |
| --- | --- |
| 28.9 | 100 |
| 29.1 | 87 |
| 29.3 | 95 |
| 29.5 | 88 |
| 30.0 | 87 |
| 30.0 | 90 |
| 40.6 | 29 |
| 51.3 | 29 |

Cell and atoms:
a b c (Å): 7.0776 9.3436 9.8381
angles (deg): 67.77 81.20 81.38
Positions (direct):
Li 0.1345 0.2889 0.4612
Li 0.8655 0.7111 0.5388
Ca 0.0000 0.5000 0.0000
Ca 0.0496 0.9146 0.7079
Ca 0.2100 0.6801 0.2232
Ca 0.2568 0.0944 0.9450
Ca 0.2856 0.4960 0.6482
Ca 0.4414 0.8828 0.4052
Ca 0.4738 0.2995 0.1514
Ca 0.5262 0.7005 0.8486
Ca 0.5586 0.1172 0.5948
Ca 0.7144 0.5040 0.3518
Ca 0.7432 0.9056 0.0550
Ca 0.7900 0.3199 0.7768
Ca 0.9504 0.0854 0.2921



Starting from the PBE geometry in Alexandria, the powder X-ray diffraction pattern of Pr4AlGa was calculated for CuKα.
Kinematic intensities with the Lorentz-polarization factor, no thermal factor.

Most intense lines, 2θ from 10° to 90°, sorted by position:
| Position (°2θ) | intensity |
| --- | --- |
| 21.4 | 39 |
| 25.0 | 16 |
| 27.3 | 55 |
| 30.8 | 42 |
| 34.9 | 100 |
| 36.0 | 24 |
| 37.8 | 18 |
| 57.4 | 24 |

Cell and atoms:
a b c (Å): 3.9511 5.8146 8.2980
angles (deg): 90.00 90.00 90.00
Positions (direct):
Pr 0.0000 0.0000 0.2126
Pr 0.0000 0.0000 0.7874
Pr 0.5000 0.5000 0.2818
Pr 0.5000 0.5000 0.7182
Al 0.5000 0.0000 0.5000
Ga 0.0000 0.5000 0.0000



Starting from the PBE geometry in Alexandria, the powder X-ray diffraction pattern of Sr3GaSb3 was calculated for CuKα.
Kinematic intensities with the Lorentz-polarization factor, no thermal factor.

Most intense lines, 2θ from 10° to 90°, sorted by position:
| Position (°2θ) | intensity |
| --- | --- |
| 25.9 | 100 |
| 26.2 | 41 |
| 36.8 | 31 |
| 37.1 | 75 |
| 37.2 | 52 |
| 45.7 | 13 |
| 53.2 | 18 |
| 60.2 | 12 |

Cell and atoms:
a b c (Å): 11.8539 14.6548 13.6175
angles (deg): 90.00 124.95 90.00
Positions (direct):
Sr 0.0789 0.0674 0.1649
Sr 0.0789 0.4326 0.6649
Sr 0.1358 0.7501 0.1581
Sr 0.1358 0.7499 0.6581
Sr 0.1392 0.0715 0.6817
Sr 0.1392 0.4285 0.1817
Sr 0.3513 0.5753 0.0240
Sr 0.3513 0.9247 0.5240
Sr 0.3811 0.5947 0.5383
Sr 0.3811 0.9053 0.0383
Sr 0.4032 0.2172 0.5911
Sr 0.4032 0.2828 0.0911
Sr 0.5968 0.7172 0.9089
Sr 0.5968 0.7828 0.4089
Sr 0.6189 0.0947 0.9617
Sr 0.6189 0.4053 0.4617
Sr 0.6487 0.0753 0.4760
Sr 0.6487 0.4247 0.9760
Sr 0.8608 0.5715 0.8183
Sr 0.8608 0.9285 0.3183
Sr 0.8642 0.2501 0.3419
Sr 0.8642 0.2499 0.8419
Sr 0.9211 0.5674 0.3351
Sr 0.9211 0.9326 0.8351
Ga 0.1293 0.2453 0.3218
Ga 0.1293 0.2547 0.8218
Ga 0.3723 0.0910 0.1891
Ga 0.3723 0.4090 0.6891
Ga 0.6277 0.5910 0.3109
Ga 0.6277 0.9090 0.8109
Ga 0.8707 0.7453 0.1782
Ga 0.8707 0.7547 0.6782
Sb 0.1108 0.7415 0.8999
Sb 0.1108 0.7585 0.3999
Sb 0.1148 0.0899 0.4265
Sb 0.1148 0.4101 0.9265
Sb 0.1547 0.0988 0.9494
Sb 0.1547 0.4012 0.4494
Sb 0.3505 0.5679 0.7746
Sb 0.3505 0.9321 0.2746
Sb 0.3674 0.2381 0.3210
Sb 0.3674 0.2619 0.8210
Sb 0.3900 0.5934 0.2954
Sb 0.3900 0.9066 0.7954
Sb 0.6100 0.0934 0.2046
Sb 0.6100 0.4066 0.7046
Sb 0.6326 0.7381 0.1790
Sb 0.6326 0.7619 0.6790
Sb 0.6495 0.0679 0.7254
Sb 0.6495 0.4321 0.2254
Sb 0.8453 0.5988 0.5506
Sb 0.8453 0.9012 0.0506
Sb 0.8852 0.5899 0.0735
Sb 0.8852 0.9101 0.5735
Sb 0.8892 0.2415 0.6001
Sb 0.8892 0.2585 0.1001